Cu6Te2Mo2H2Cl4O15: calculated powder X-ray diffraction pattern (Cu Ka), based on a GGA+U-relaxed structure.
Lines closer than 0.1° are merged.

The 12 most intense peaks (10° ≤ 2θ ≤ 80°), in order of falling intensity:
hkl  2theta  d (Å)  intensity
0 2 0  28.13  3.172  100
0 1 -1  16.56  5.354  98
2 0 1  29.13  3.065  73
0 0 4  29.68  3.010  66
0 1 1  14.97  5.917  58
2 1 2  32.77  2.733  49
1 0 4  31.98  2.799  44
2 1 -2  36.40  2.468  43
2 1 -1  33.01  2.714  42
1 1 3  27.24  3.274  42
-1 1 3  30.16  2.963  41
1 0 0  14.27  6.205  39

Cell and atoms:
a b c (Å): 6.246 6.415 12.177
angles (deg): 82.69 84.78 85.32
Space group P1 (No. 1)
Symmetry-distinct sites (fractional):
Cu (0.000, 0.000, 0.000) [1 per cell]
Cu (0.004, 0.489, 0.201) [1 per cell]
Cu (0.331, 0.855, 0.200) [1 per cell]
Cu (0.360, 0.066, 0.412) [1 per cell]
Cu (0.676, 0.939, 0.612) [1 per cell]
Cu (0.683, 0.429, 0.411) [1 per cell]
Te (0.170, 0.582, 0.464) [1 per cell]
Te (0.516, 0.339, 0.147) [1 per cell]
Mo (0.194, 0.000, 0.701) [1 per cell]
Mo (0.489, 0.905, 0.915) [1 per cell]
H (0.178, 0.516, 0.734) [1 per cell]
H (0.418, 0.569, 0.713) [1 per cell]
Cl (0.702, 0.482, 0.589) [1 per cell]
Cl (0.830, 0.998, 0.440) [1 per cell]
Cl (0.848, 0.918, 0.172) [1 per cell]
Cl (0.995, 0.424, 0.026) [1 per cell]
O (0.144, 0.272, 0.669) [1 per cell]
O (0.176, 0.984, 0.862) [1 per cell]
O (0.278, 0.621, 0.746) [1 per cell]
O (0.302, 0.562, 0.180) [1 per cell]
O (0.302, 0.966, 0.047) [1 per cell]
O (0.325, 0.788, 0.364) [1 per cell]
O (0.363, 0.132, 0.248) [1 per cell]
O (0.378, 0.948, 0.567) [1 per cell]
O (0.386, 0.357, 0.434) [1 per cell]
O (0.512, 0.959, 0.754) [1 per cell]
O (0.553, 0.638, 0.946) [1 per cell]
O (0.708, 0.416, 0.247) [1 per cell]
O (0.719, 0.038, 0.940) [1 per cell]
O (0.947, 0.896, 0.675) [1 per cell]
O (0.979, 0.504, 0.364) [1 per cell]